Entry 1:
Calculated powder X-ray diffraction pattern of Ho3Ir for copper Kα, from a DFT-relaxed cell (GGA-PBE, the Materials Project).
Neutral-atom scattering factors, no anomalous dispersion.

Main lines, in order of rising 2θ (2θ from 15° to 90°):
2θ/deg	intensity
29.99	26
31.38	37
32.30	100
34.28	22
34.49	45
34.69	46
36.52	23
38.38	30
39.91	25
48.98	26

Cell and atoms:
Unit cell a=7.2508 b=9.2261 c=6.3514 alpha=90.00 beta=90.00 gamma=90.00
Positions (direct):
1 Ho 0.0349 0.2500 0.1336
2 Ho 0.1768 0.0628 0.6715
3 Ho 0.1768 0.4372 0.6715
4 Ho 0.3232 0.5628 0.1715
5 Ho 0.3232 0.9372 0.1715
6 Ho 0.4651 0.7500 0.6336
7 Ho 0.5349 0.2500 0.3664
8 Ho 0.6768 0.0628 0.8285
9 Ho 0.6768 0.4372 0.8285
10 Ho 0.8232 0.5628 0.3285
11 Ho 0.8232 0.9372 0.3285
12 Ho 0.9651 0.7500 0.8664
13 Ir 0.1180 0.7500 0.4523
14 Ir 0.3820 0.2500 0.9523
15 Ir 0.6180 0.7500 0.0477
16 Ir 0.8820 0.2500 0.5477

---

Entry 2:
Calculated powder X-ray diffraction pattern of Ho5Ir2 for copper Kα, from a DFT-relaxed cell (GGA-PBE, the Materials Project).
Neutral-atom scattering factors, no anomalous dispersion.

Main lines, in order of rising 2θ (2θ from 15° to 90°):
2θ/deg	intensity
19.81	44
30.29	38
31.94	100
32.04	27
33.00	31
35.10	32
35.70	37
36.10	39
36.22	30
40.24	46

Cell and atoms:
Unit cell a=8.4600 b=8.4600 c=7.1702 alpha=96.29 beta=96.29 gamma=45.08
Positions (direct):
1 Ho 0.0727 0.9273 0.7500
2 Ho 0.1540 0.2884 0.3186
3 Ho 0.2884 0.1540 0.8186
4 Ho 0.2880 0.5303 0.0817
5 Ho 0.4697 0.7120 0.4183
6 Ho 0.5303 0.2880 0.5817
7 Ho 0.7120 0.4697 0.9183
8 Ho 0.7116 0.8460 0.1814
9 Ho 0.8460 0.7116 0.6814
10 Ho 0.9273 0.0727 0.2500
11 Ir 0.1082 0.6728 0.4266
12 Ir 0.3272 0.8918 0.0734
13 Ir 0.6728 0.1082 0.9266
14 Ir 0.8918 0.3272 0.5734